Diffraction record for Dy5ErSc2. The PXRD pattern is computed, not measured: it uses the PBE geometry in Alexandria and λ = 1.5418 Å (Cu Kα).

Top 8 peaks for 2θ from 10° to 90°, sorted by position:
2θ/deg	intensity
29.14	27
32.52	24
33.46	100
44.22	17
58.62	20
62.38	22
62.96	16
85.69	14

Atomic structure:
```
data_Dy5ErSc2
_cell_length_a 8.239
_cell_length_b 7.077
_cell_length_c 6.547
_cell_angle_alpha 74.30
_cell_angle_beta 55.79
_cell_angle_gamma 49.91
_symmetry_space_group_name_H-M 'P 1'
_symmetry_Int_Tables_number 1
loop_
_symmetry_equiv_pos_as_xyz
'x,y,z'
loop_
_atom_site_label
_atom_site_type_symbol
_atom_site_fract_x
_atom_site_fract_y
_atom_site_fract_z
Dy1 Dy 0.000 0.000 0.000
Dy2 Dy 0.416 0.416 0.084
Dy3 Dy 0.496 0.996 0.504
Dy4 Dy 0.916 0.916 0.584
Dy5 Dy 0.996 0.496 0.004
Er1 Er 0.500 0.500 0.500
Sc1 Sc 0.414 0.913 0.087
Sc2 Sc 0.913 0.414 0.586
```